Computed XRD peak list of Ba5Tl4 for Cu Kα (λ = 1.5418 Å), from a DFT-relaxed cell (GGA-PBE, Alexandria).

Principal peaks in the range 10° ≤ 2θ ≤ 90°, in order of falling intensity:
d/Å  2θ/deg  I (rel.)
3.181  28.05  100
2.916  30.65  60
3.342  26.67  57
2.706  33.11  26
3.572  24.93  25
5.128  17.29  22
2.805  31.91  21
5.633  15.73  21

Crystal structure
Lattice parameters (Å, degrees): 6.3970 6.3970 12.2401 106.88 106.88 54.25
Sites, in units of the cell vectors:
Ba1 0.0000 0.0000 0.0000
Ba2 0.1040 0.1040 0.3998
Ba3 0.2670 0.2670 0.8091
Ba4 0.7330 0.7330 0.1909
Ba5 0.8960 0.8960 0.6002
Tl1 0.3904 0.3904 0.1231
Tl2 0.4010 0.4010 0.3776
Tl3 0.5990 0.5990 0.6224
Tl4 0.6096 0.6096 0.8769